Diffraction record for K3Tb3NbSe8. The powder X-ray diffraction pattern is computed, not measured: it uses a PBE-relaxed structure and Cu Kα X-rays.
Kinematic intensities with the Lorentz-polarization factor, no thermal factor.

Peak list (10 most intense, 2θ from 10° to 80°, low angle first)
2θ (°)	I (rel.)	h k l
11.26	79.4	0 0 3
29.36	100.0	0 2 4
36.78	27.3	0 2 7
39.74	33.7	2 0 8
44.18	34.0	2 2 0
45.74	15.3	2 2 3
49.68	15.2	2 0 11
53.94	16.9	4 0 4
72.20	13.5	2 4 4
76.36	15.1	2 2 15

```
data_K3Tb3NbSe8
_space_group_name_H-M_alt 'R -3 m'
_space_group_IT_number 166
_space_group_name_Hall '-R 3 2"'
_cell_length_a 8.1994
_cell_length_b 8.1994
_cell_length_c 23.5839
_cell_angle_alpha 90.00
_cell_angle_beta 90.00
_cell_angle_gamma 120.00
loop_
_atom_site_label
_atom_site_type_symbol
_atom_site_fract_x
_atom_site_fract_y
_atom_site_fract_z
K1 K 0.0000 0.5000 0.0000
Tb1 Tb 0.0000 0.5000 0.5000
Nb1 Nb 0.0000 0.0000 0.5000
Se1 Se 0.0000 0.0000 0.2358
Se2 Se 0.0213 0.5107 0.2319
```